Record 1
# K3UGe2O8
Theoretical powder diffraction line list, Cu Kα. Input: a crystal structure in Alexandria, relaxed with PBE.

```
data_K3UGe2O8
_symmetry_space_group_name_H-M 'P 1'
_symmetry_Int_Tables_number 1
_symmetry_space_group_name_Hall 'P 1'
_cell_length_a 5.9082
_cell_length_b 5.9082
_cell_length_c 7.8165
_cell_angle_alpha 90.00
_cell_angle_beta 90.00
_cell_angle_gamma 120.00
loop_
_atom_site_label
_atom_site_type_symbol
_atom_site_fract_x
_atom_site_fract_y
_atom_site_fract_z
_atom_site_occupancy
K1 K 0.0000 0.0000 0.0000 1
K2 K 0.3333 0.6667 0.7085 1
K3 K 0.6667 0.3333 0.2915 1
U1 U 0.0000 0.0000 0.5000 1
Ge1 Ge 0.3333 0.6667 0.2440 1
Ge2 Ge 0.6667 0.3333 0.7560 1
O1 O 0.1719 0.3439 0.3410 1
O2 O 0.1719 0.8281 0.3410 1
O3 O 0.3333 0.6667 0.0280 1
O4 O 0.3439 0.1719 0.6590 1
O5 O 0.6561 0.8281 0.3410 1
O6 O 0.6667 0.3333 0.9720 1
O7 O 0.8281 0.1719 0.6590 1
O8 O 0.8281 0.6561 0.6590 1
```

Top 8 peaks for 2θ = 10–90°, sorted by position:
11.32 deg, rel. 54; 17.33 deg, rel. 27; 20.75 deg, rel. 84; 28.74 deg, rel. 100; 30.25 deg, rel. 86; 42.22 deg, rel. 45; 52.82 deg, rel. 36; 56.46 deg, rel. 28


Record 2
# La7Nd2Dy
Theoretical powder diffraction line list, Cu Kα. Input: a crystal structure in Alexandria, relaxed with PBE.

```
data_La7Nd2Dy
_symmetry_space_group_name_H-M 'P 1'
_symmetry_Int_Tables_number 1
_symmetry_space_group_name_Hall 'P 1'
_cell_length_a 9.0445
_cell_length_b 3.5329
_cell_length_c 12.0440
_cell_angle_alpha 90.00
_cell_angle_beta 111.54
_cell_angle_gamma 90.00
loop_
_atom_site_label
_atom_site_type_symbol
_atom_site_fract_x
_atom_site_fract_y
_atom_site_fract_z
_atom_site_occupancy
La1 La 0.0000 0.0000 0.0000 1
La2 La 0.1908 0.0000 0.3067 1
La3 La 0.2226 0.0000 0.8092 1
La4 La 0.3922 0.5000 0.1117 1
La5 La 0.6078 0.5000 0.8883 1
La6 La 0.7774 0.0000 0.1908 1
La7 La 0.8092 0.0000 0.6933 1
Nd1 Nd 0.3965 0.0000 0.6020 1
Nd2 Nd 0.6035 0.0000 0.3980 1
Dy1 Dy 0.0000 0.5000 0.5000 1
```

Top 8 peaks for 2θ = 10–90°, sorted by position:
29.67 deg, rel. 100; 29.94 deg, rel. 55; 30.92 deg, rel. 44; 32.15 deg, rel. 16; 36.11 deg, rel. 22; 60.79 deg, rel. 15; 60.95 deg, rel. 14; 61.51 deg, rel. 13


Record 3
# Yb4As6Rh7
Theoretical powder diffraction line list, Cu Kα. Input: a crystal structure in Alexandria, relaxed with PBE.

```
data_Yb4As6Rh7
_symmetry_space_group_name_H-M 'P 1'
_symmetry_Int_Tables_number 1
_symmetry_space_group_name_Hall 'P 1'
_cell_length_a 7.2708
_cell_length_b 7.2708
_cell_length_c 7.2708
_cell_angle_alpha 109.47
_cell_angle_beta 109.47
_cell_angle_gamma 109.47
loop_
_atom_site_label
_atom_site_type_symbol
_atom_site_fract_x
_atom_site_fract_y
_atom_site_fract_z
_atom_site_occupancy
Yb1 Yb 0.0000 0.0000 0.5000 1
Yb2 Yb 0.0000 0.5000 0.0000 1
Yb3 Yb 0.5000 0.0000 0.0000 1
Yb4 Yb 0.5000 0.5000 0.5000 1
As1 As 0.0000 0.3198 0.3198 1
As2 As 0.0000 0.6802 0.6802 1
As3 As 0.3198 0.0000 0.3198 1
As4 As 0.3198 0.3198 0.0000 1
As5 As 0.6802 0.0000 0.6802 1
As6 As 0.6802 0.6802 0.0000 1
Rh1 Rh 0.0000 0.0000 0.0000 1
Rh2 Rh 0.2500 0.5000 0.7500 1
Rh3 Rh 0.2500 0.7500 0.5000 1
Rh4 Rh 0.5000 0.2500 0.7500 1
Rh5 Rh 0.5000 0.7500 0.2500 1
Rh6 Rh 0.7500 0.2500 0.5000 1
Rh7 Rh 0.7500 0.5000 0.2500 1
```

Top 8 peaks for 2θ = 10–90°, sorted by position:
30.11 deg, rel. 32; 37.09 deg, rel. 100; 40.19 deg, rel. 19; 43.10 deg, rel. 63; 51.02 deg, rel. 14; 62.59 deg, rel. 33; 71.01 deg, rel. 12; 75.05 deg, rel. 27


Record 4
# Ac4TbHg
Theoretical powder diffraction line list, Cu Kα. Input: a crystal structure in Alexandria, relaxed with PBE.

```
data_Ac4TbHg
_symmetry_space_group_name_H-M 'P 1'
_symmetry_Int_Tables_number 1
_symmetry_space_group_name_Hall 'P 1'
_cell_length_a 3.9639
_cell_length_b 3.9639
_cell_length_c 14.8230
_cell_angle_alpha 90.00
_cell_angle_beta 90.00
_cell_angle_gamma 90.00
loop_
_atom_site_label
_atom_site_type_symbol
_atom_site_fract_x
_atom_site_fract_y
_atom_site_fract_z
_atom_site_occupancy
Ac1 Ac 0.0000 0.0000 0.1406 1
Ac2 Ac 0.0000 0.0000 0.8594 1
Ac3 Ac 0.5000 0.5000 0.3312 1
Ac4 Ac 0.5000 0.5000 0.6688 1
Tb1 Tb 0.0000 0.0000 0.5000 1
Hg1 Hg 0.5000 0.5000 0.0000 1
```

Top 8 peaks for 2θ = 10–90°, sorted by position:
28.88 deg, rel. 100; 31.93 deg, rel. 42; 36.37 deg, rel. 11; 45.78 deg, rel. 16; 49.16 deg, rel. 19; 55.04 deg, rel. 34; 59.83 deg, rel. 12; 74.31 deg, rel. 8


What did the third record say?
# Yb4As6Rh7
Theoretical powder diffraction line list, Cu Kα. Input: a crystal structure in Alexandria, relaxed with PBE.

```
data_Yb4As6Rh7
_symmetry_space_group_name_H-M 'P 1'
_symmetry_Int_Tables_number 1
_symmetry_space_group_name_Hall 'P 1'
_cell_length_a 7.2708
_cell_length_b 7.2708
_cell_length_c 7.2708
_cell_angle_alpha 109.47
_cell_angle_beta 109.47
_cell_angle_gamma 109.47
loop_
_atom_site_label
_atom_site_type_symbol
_atom_site_fract_x
_atom_site_fract_y
_atom_site_fract_z
_atom_site_occupancy
Yb1 Yb 0.0000 0.0000 0.5000 1
Yb2 Yb 0.0000 0.5000 0.0000 1
Yb3 Yb 0.5000 0.0000 0.0000 1
Yb4 Yb 0.5000 0.5000 0.5000 1
As1 As 0.0000 0.3198 0.3198 1
As2 As 0.0000 0.6802 0.6802 1
As3 As 0.3198 0.0000 0.3198 1
As4 As 0.3198 0.3198 0.0000 1
As5 As 0.6802 0.0000 0.6802 1
As6 As 0.6802 0.6802 0.0000 1
Rh1 Rh 0.0000 0.0000 0.0000 1
Rh2 Rh 0.2500 0.5000 0.7500 1
Rh3 Rh 0.2500 0.7500 0.5000 1
Rh4 Rh 0.5000 0.2500 0.7500 1
Rh5 Rh 0.5000 0.7500 0.2500 1
Rh6 Rh 0.7500 0.2500 0.5000 1
Rh7 Rh 0.7500 0.5000 0.2500 1
```

Top 8 peaks for 2θ = 10–90°, sorted by position:
30.11 deg, rel. 32; 37.09 deg, rel. 100; 40.19 deg, rel. 19; 43.10 deg, rel. 63; 51.02 deg, rel. 14; 62.59 deg, rel. 33; 71.01 deg, rel. 12; 75.05 deg, rel. 27


Copy entry 3 word for word.
# Yb4As6Rh7
Theoretical powder diffraction line list, Cu Kα. Input: a crystal structure in Alexandria, relaxed with PBE.

```
data_Yb4As6Rh7
_symmetry_space_group_name_H-M 'P 1'
_symmetry_Int_Tables_number 1
_symmetry_space_group_name_Hall 'P 1'
_cell_length_a 7.2708
_cell_length_b 7.2708
_cell_length_c 7.2708
_cell_angle_alpha 109.47
_cell_angle_beta 109.47
_cell_angle_gamma 109.47
loop_
_atom_site_label
_atom_site_type_symbol
_atom_site_fract_x
_atom_site_fract_y
_atom_site_fract_z
_atom_site_occupancy
Yb1 Yb 0.0000 0.0000 0.5000 1
Yb2 Yb 0.0000 0.5000 0.0000 1
Yb3 Yb 0.5000 0.0000 0.0000 1
Yb4 Yb 0.5000 0.5000 0.5000 1
As1 As 0.0000 0.3198 0.3198 1
As2 As 0.0000 0.6802 0.6802 1
As3 As 0.3198 0.0000 0.3198 1
As4 As 0.3198 0.3198 0.0000 1
As5 As 0.6802 0.0000 0.6802 1
As6 As 0.6802 0.6802 0.0000 1
Rh1 Rh 0.0000 0.0000 0.0000 1
Rh2 Rh 0.2500 0.5000 0.7500 1
Rh3 Rh 0.2500 0.7500 0.5000 1
Rh4 Rh 0.5000 0.2500 0.7500 1
Rh5 Rh 0.5000 0.7500 0.2500 1
Rh6 Rh 0.7500 0.2500 0.5000 1
Rh7 Rh 0.7500 0.5000 0.2500 1
```

Top 8 peaks for 2θ = 10–90°, sorted by position:
30.11 deg, rel. 32; 37.09 deg, rel. 100; 40.19 deg, rel. 19; 43.10 deg, rel. 63; 51.02 deg, rel. 14; 62.59 deg, rel. 33; 71.01 deg, rel. 12; 75.05 deg, rel. 27